Calculated X-ray powder pattern of Mg6Ga2Sn for Cu Kα (weighted mean of Kα1 and Kα2), from a crystal structure in Alexandria, relaxed with GGA-PBE.

Top 6 peaks for 2θ from 10° to 90°, low angle first:
2θ 16.72, intensity 37.5; 2θ 26.74, intensity 40.6; 2θ 35.87, intensity 25.9; 2θ 36.05, intensity 100.0; 2θ 36.48, intensity 24.0; 2θ 52.09, intensity 17.6

Atomic structure:
```
Mg6Ga2Sn
1.0
0.000 5.303 7.511
2.463 0.000 7.511
2.463 5.303 0.000
Mg Ga Sn
6 2 1
direct
0.015 0.328 0.672 Mg
0.328 0.015 0.985 Mg
0.337 0.663 0.337 Mg
0.663 0.337 0.663 Mg
0.672 0.985 0.015 Mg
0.985 0.672 0.328 Mg
0.334 0.334 0.666 Ga
0.666 0.666 0.334 Ga
0.000 0.000 0.000 Sn
```

Calculated X-ray powder pattern of NaZr2Pd9 for Cu Kα (weighted mean of Kα1 and Kα2), from a crystal structure in Alexandria, relaxed with GGA-PBE.

Top 6 peaks for 2θ from 10° to 90°, low angle first:
2θ 38.63, intensity 100.0; 2θ 44.83, intensity 32.7; 2θ 45.07, intensity 15.8; 2θ 65.45, intensity 20.1; 2θ 78.48, intensity 24.0; 2θ 78.84, intensity 11.4

Atomic structure:
```
NaZr2Pd9
1.0
4.044 0.000 0.000
0.000 4.044 0.000
0.000 0.000 12.068
Na Zr Pd
1 2 9
direct
0.000 0.000 0.000 Na
0.000 0.000 0.329 Zr
0.000 0.000 0.671 Zr
0.000 0.500 0.171 Pd
0.000 0.500 0.500 Pd
0.000 0.500 0.829 Pd
0.500 0.000 0.171 Pd
0.500 0.000 0.500 Pd
0.500 0.000 0.829 Pd
0.500 0.500 0.000 Pd
0.500 0.500 0.337 Pd
0.500 0.500 0.663 Pd
```